Simulated powder XRD pattern
Compound: TbDy3Fe4Co4
Radiation: Cu Kα (λ = 1.5418 Å)
Structure: a cell relaxed with PBE
Intensities are scaled so that the largest is 100.

Cell and atoms:
a = 5.102 Å, b = 5.102 Å, c = 8.699 Å
α = 106.83°, β = 106.83°, γ = 62.03°
Sites, in units of the cell vectors:
Tb: 0.000 0.000 0.000
Dy: 0.376 0.376 0.123
Dy: 0.496 0.496 0.496
Dy: 0.872 0.872 0.619
Fe: 0.186 0.186 0.561
Fe: 0.436 0.436 0.809
Fe: 0.686 0.686 0.058
Fe: 0.936 0.936 0.310
Co: 0.436 0.936 0.310
Co: 0.436 0.936 0.809
Co: 0.936 0.436 0.310
Co: 0.936 0.436 0.809

Top 10 peaks for 10 to 90 degrees two-theta, in order of rising 2θ:
21.0 deg, intensity 23
34.1 deg, intensity 32
35.2 deg, intensity 62
35.4 deg, intensity 61
35.8 deg, intensity 31
40.8 deg, intensity 100
41.7 deg, intensity 90
41.9 deg, intensity 65
61.8 deg, intensity 24
66.3 deg, intensity 22

---

Simulated powder XRD pattern
Compound: SiC
Radiation: Cu Kα (λ = 1.5418 Å)
Structure: a cell relaxed with PBE
Intensities are scaled so that the largest is 100.

Cell and atoms:
a = 3.094 Å, b = 3.094 Å, c = 45.555 Å
α = 90.00°, β = 90.00°, γ = 120.00°
Sites, in units of the cell vectors:
Si: 0.000 0.000 0.000
Si: 0.000 0.000 0.111
Si: 0.000 0.000 0.222
Si: 0.000 0.000 0.333
Si: 0.000 0.000 0.444
Si: 0.000 0.000 0.556
Si: 0.000 0.000 0.667
Si: 0.000 0.000 0.778
Si: 0.333 0.667 0.167
Si: 0.333 0.667 0.389
Si: 0.333 0.667 0.611
Si: 0.333 0.667 0.833
Si: 0.333 0.667 0.945
Si: 0.667 0.333 0.056
Si: 0.667 0.333 0.278
Si: 0.667 0.333 0.500
Si: 0.667 0.333 0.722
Si: 0.667 0.333 0.889
C: 0.000 0.000 0.042
C: 0.000 0.000 0.153
C: 0.000 0.000 0.264
C: 0.000 0.000 0.375
C: 0.000 0.000 0.486
C: 0.000 0.000 0.597
C: 0.000 0.000 0.708
C: 0.000 0.000 0.820
C: 0.333 0.667 0.208
C: 0.333 0.667 0.431
C: 0.333 0.667 0.653
C: 0.333 0.667 0.875
C: 0.333 0.667 0.986
C: 0.667 0.333 0.097
C: 0.667 0.333 0.320
C: 0.667 0.333 0.542
C: 0.667 0.333 0.764
C: 0.667 0.333 0.931

Top 10 peaks for 10 to 90 degrees two-theta, in order of rising 2θ:
33.5 deg, intensity 20
34.4 deg, intensity 43
34.9 deg, intensity 68
35.5 deg, intensity 97
38.0 deg, intensity 100
57.9 deg, intensity 19
59.8 deg, intensity 79
65.4 deg, intensity 46
71.5 deg, intensity 59
73.1 deg, intensity 16

---

Simulated powder XRD pattern
Compound: MgAl2S4
Radiation: Cu Kα (λ = 1.5418 Å)
Structure: a cell relaxed with PBE
Intensities are scaled so that the largest is 100.

Cell and atoms:
a = 12.645 Å, b = 7.273 Å, c = 5.952 Å
α = 90.00°, β = 90.00°, γ = 90.00°
Sites, in units of the cell vectors:
Mg: 0.235 0.250 0.002
Mg: 0.265 0.750 0.502
Mg: 0.735 0.250 0.498
Mg: 0.765 0.750 0.998
Al: 0.000 0.000 0.500
Al: 0.000 0.500 0.500
Al: 0.085 0.750 0.091
Al: 0.415 0.250 0.591
Al: 0.500 0.000 0.000
Al: 0.500 0.500 0.000
Al: 0.585 0.750 0.409
Al: 0.915 0.250 0.909
S: 0.074 0.250 0.728
S: 0.084 0.750 0.713
S: 0.158 0.505 0.261
S: 0.158 0.995 0.261
S: 0.342 0.005 0.761
S: 0.342 0.495 0.761
S: 0.416 0.250 0.213
S: 0.426 0.750 0.228
S: 0.574 0.250 0.772
S: 0.584 0.750 0.787
S: 0.658 0.505 0.239
S: 0.658 0.995 0.239
S: 0.842 0.005 0.739
S: 0.842 0.495 0.739
S: 0.916 0.250 0.287
S: 0.926 0.750 0.272

Top 10 peaks for 10 to 90 degrees two-theta, in order of rising 2θ:
14.0 deg, intensity 9
20.5 deg, intensity 10
28.7 deg, intensity 18
29.6 deg, intensity 14
32.1 deg, intensity 100
41.7 deg, intensity 54
50.0 deg, intensity 35
50.2 deg, intensity 19
54.6 deg, intensity 31
67.2 deg, intensity 9

---

Simulated powder XRD pattern
Compound: La2SiCN2O4
Radiation: Cu Kα (λ = 1.5418 Å)
Structure: a cell relaxed with PBE
Intensities are scaled so that the largest is 100.

Cell and atoms:
a = 6.575 Å, b = 12.916 Å, c = 6.680 Å
α = 90.00°, β = 105.28°, γ = 90.00°
Sites, in units of the cell vectors:
La: 0.030 0.145 0.330
La: 0.030 0.355 0.830
La: 0.412 0.599 0.719
La: 0.412 0.901 0.219
La: 0.588 0.099 0.781
La: 0.588 0.401 0.281
La: 0.970 0.645 0.170
La: 0.970 0.855 0.670
Si: 0.092 0.099 0.813
Si: 0.092 0.401 0.313
Si: 0.908 0.599 0.687
Si: 0.908 0.901 0.187
C: 0.474 0.652 0.231
C: 0.474 0.848 0.731
C: 0.526 0.152 0.269
C: 0.526 0.348 0.769
N: 0.370 0.704 0.324
N: 0.370 0.796 0.824
N: 0.425 0.098 0.362
N: 0.425 0.402 0.862
N: 0.575 0.598 0.138
N: 0.575 0.902 0.638
N: 0.630 0.204 0.176
N: 0.630 0.296 0.676
O: 0.025 0.666 0.541
O: 0.025 0.834 0.041
O: 0.106 0.552 0.871
O: 0.106 0.948 0.371
O: 0.223 0.180 0.703
O: 0.223 0.320 0.203
O: 0.253 0.007 0.916
O: 0.253 0.493 0.416
O: 0.747 0.507 0.584
O: 0.747 0.993 0.084
O: 0.777 0.680 0.797
O: 0.777 0.820 0.297
O: 0.894 0.052 0.629
O: 0.894 0.448 0.129
O: 0.975 0.166 0.959
O: 0.975 0.334 0.459

Top 10 peaks for 10 to 90 degrees two-theta, in order of rising 2θ:
21.8 deg, intensity 100
26.1 deg, intensity 34
27.6 deg, intensity 52
27.7 deg, intensity 43
28.1 deg, intensity 32
28.6 deg, intensity 23
29.0 deg, intensity 25
31.0 deg, intensity 31
39.8 deg, intensity 24
44.4 deg, intensity 33

---

Simulated powder XRD pattern
Compound: Ba3ErIrRuO9
Radiation: Cu Kα (λ = 1.5418 Å)
Structure: a cell relaxed with PBE
Intensities are scaled so that the largest is 100.

Cell and atoms:
a = 5.948 Å, b = 5.948 Å, c = 14.612 Å
α = 90.00°, β = 90.00°, γ = 120.00°
Sites, in units of the cell vectors:
Ba: 0.000 0.000 0.000
Ba: 0.000 0.000 0.500
Ba: 0.333 0.667 0.156
Ba: 0.333 0.667 0.842
Ba: 0.667 0.333 0.342
Ba: 0.667 0.333 0.656
Er: 0.000 0.000 0.249
Er: 0.000 0.000 0.749
Ir: 0.333 0.667 0.587
Ir: 0.667 0.333 0.087
Ru: 0.333 0.667 0.412
Ru: 0.667 0.333 0.912
O: 0.021 0.511 0.499
O: 0.175 0.350 0.337
O: 0.175 0.825 0.337
O: 0.176 0.351 0.665
O: 0.176 0.824 0.665
O: 0.350 0.175 0.837
O: 0.351 0.176 0.165
O: 0.489 0.511 0.499
O: 0.489 0.979 0.499
O: 0.511 0.021 0.999
O: 0.511 0.489 0.999
O: 0.649 0.824 0.665
O: 0.650 0.825 0.337
O: 0.824 0.176 0.165
O: 0.824 0.649 0.165
O: 0.825 0.175 0.837
O: 0.825 0.650 0.837
O: 0.979 0.489 0.999

Top 10 peaks for 10 to 90 degrees two-theta, in order of rising 2θ:
18.3 deg, intensity 9
25.2 deg, intensity 11
30.0 deg, intensity 100
35.3 deg, intensity 9
43.0 deg, intensity 21
47.0 deg, intensity 13
53.3 deg, intensity 28
56.8 deg, intensity 11
62.5 deg, intensity 11
70.8 deg, intensity 11

---

Simulated powder XRD pattern
Compound: Nd3Mg
Radiation: Cu Kα (λ = 1.5418 Å)
Structure: a cell relaxed with PBE
Intensities are scaled so that the largest is 100.

Cell and atoms:
a = 5.012 Å, b = 5.012 Å, c = 10.190 Å
α = 90.00°, β = 90.00°, γ = 90.00°
Sites, in units of the cell vectors:
Nd: 0.000 0.000 0.000
Nd: 0.000 0.500 0.250
Nd: 0.000 0.500 0.750
Nd: 0.500 0.000 0.250
Nd: 0.500 0.000 0.750
Nd: 0.500 0.500 0.500
Mg: 0.000 0.000 0.500
Mg: 0.500 0.500 0.000

Top 10 peaks for 10 to 90 degrees two-theta, in order of rising 2θ:
19.7 deg, intensity 20
30.7 deg, intensity 100
35.2 deg, intensity 17
35.8 deg, intensity 33
51.1 deg, intensity 24
51.6 deg, intensity 12
60.4 deg, intensity 14
61.3 deg, intensity 28
64.0 deg, intensity 12
83.4 deg, intensity 12

---

Simulated powder XRD pattern
Compound: Cs2PH5O6
Radiation: Cu Kα (λ = 1.5418 Å)
Structure: a cell relaxed with PBE
Intensities are scaled so that the largest is 100.

Cell and atoms:
a = 7.796 Å, b = 14.230 Å, c = 8.343 Å
α = 90.00°, β = 119.78°, γ = 90.00°
Sites, in units of the cell vectors:
Cs: 0.240 0.233 0.243
Cs: 0.240 0.267 0.743
Cs: 0.250 0.585 0.756
Cs: 0.250 0.915 0.256
Cs: 0.750 0.085 0.744
Cs: 0.750 0.415 0.244
Cs: 0.760 0.733 0.257
Cs: 0.760 0.767 0.757
P: 0.246 0.644 0.237
P: 0.246 0.856 0.737
P: 0.754 0.144 0.263
P: 0.754 0.356 0.763
H: 0.142 0.080 0.450
H: 0.142 0.420 0.950
H: 0.191 0.021 0.879
H: 0.191 0.479 0.379
H: 0.275 0.732 0.478
H: 0.275 0.768 0.978
H: 0.314 0.023 0.621
H: 0.314 0.477 0.121
H: 0.362 0.078 0.051
H: 0.362 0.422 0.551
H: 0.638 0.578 0.449
H: 0.638 0.922 0.949
H: 0.686 0.523 0.879
H: 0.686 0.977 0.379
H: 0.725 0.232 0.022
H: 0.725 0.268 0.522
H: 0.809 0.521 0.621
H: 0.809 0.979 0.121
H: 0.858 0.580 0.050
H: 0.858 0.920 0.550
O: 0.085 0.585 0.247
O: 0.085 0.915 0.747
O: 0.157 0.716 0.077
O: 0.157 0.784 0.577
O: 0.219 0.079 0.955
O: 0.219 0.421 0.455
O: 0.285 0.082 0.547
O: 0.285 0.418 0.047
O: 0.360 0.704 0.430
O: 0.360 0.796 0.930
O: 0.411 0.584 0.238
O: 0.411 0.916 0.738
O: 0.589 0.084 0.262
O: 0.589 0.416 0.762
O: 0.640 0.204 0.070
O: 0.640 0.296 0.570
O: 0.715 0.582 0.953
O: 0.715 0.918 0.453
O: 0.781 0.579 0.545
O: 0.781 0.921 0.045
O: 0.843 0.216 0.423
O: 0.843 0.284 0.923
O: 0.915 0.085 0.253
O: 0.915 0.415 0.753

Top 10 peaks for 10 to 90 degrees two-theta, in order of rising 2θ:
14.2 deg, intensity 25
22.9 deg, intensity 82
24.6 deg, intensity 45
25.6 deg, intensity 36
26.3 deg, intensity 54
27.9 deg, intensity 26
28.5 deg, intensity 100
34.1 deg, intensity 29
38.5 deg, intensity 41
39.9 deg, intensity 21